(1)
This entry pairs a crystal structure of LaTb7Er12 with its calculated powder diffractogram. Radiation: Cu Kα (λ = 1.5418 Å). Structure: a GGA-PBE-relaxed structure.

```
20
Lattice="7.845 4.529 2.956 -7.845 4.529 2.956 0.000 -9.059 2.956" Properties=species:S:1:pos:R:3 pbc="T T T"
La 0.000 0.000 0.000
Tb -2.881 -2.207 4.392
Tb -3.352 1.391 4.476
Tb 0.471 -3.598 4.476
Tb 0.000 0.000 4.434
Tb -0.471 3.598 4.392
Tb 3.352 -1.391 4.392
Tb 2.881 2.207 4.476
Er -2.400 -0.209 1.733
Er -6.174 -0.853 4.513
Er -2.349 -5.773 4.355
Er 1.381 -1.974 1.733
Er 1.019 2.183 1.733
Er -3.825 4.920 4.355
Er 3.825 -4.920 4.513
Er -1.019 -2.183 7.135
Er -1.381 1.974 7.135
Er 2.349 5.773 4.513
Er 6.174 0.853 4.355
Er 2.400 0.209 7.135
```

Peak list (8 most intense, 10 to 90 degrees two-theta, in order of rising 2θ)
| Position (°2θ) | intensity |
| --- | --- |
| 30.22 | 39 |
| 30.39 | 100 |
| 35.19 | 78 |
| 50.52 | 25 |
| 50.73 | 25 |
| 60.01 | 11 |
| 60.23 | 33 |
| 63.24 | 12 |

(2)
This entry pairs a crystal structure of LaTb6Er2 with its calculated powder diffractogram. Radiation: Cu Kα (λ = 1.5418 Å). Structure: a GGA-PBE-relaxed structure.

```
18
Lattice="6.424 -7.076 0.000 6.424 7.076 0.000 -1.509 0.000 6.446" Properties=species:S:1:pos:R:3 pbc="T T T"
La 5.293 5.333 4.834
La 6.047 -5.333 1.611
Tb 0.519 1.215 5.302
Tb 2.952 2.841 1.752
Tb 1.274 -1.215 2.079
Tb 4.465 2.605 6.445
Tb 6.121 2.605 3.224
Tb 2.197 -2.841 4.975
Tb 9.143 2.841 1.471
Tb 5.219 -2.605 3.222
Tb 6.875 -2.605 0.001
Tb 10.067 1.215 4.366
Tb 8.389 -2.841 4.694
Tb 10.821 -1.215 1.144
Er 3.679 0.345 4.091
Er 4.434 -0.345 0.868
Er 6.906 0.345 5.578
Er 7.661 -0.345 2.355
```

Peak list (8 most intense, 10 to 90 degrees two-theta, in order of rising 2θ)
| Position (°2θ) | intensity |
| --- | --- |
| 28.76 | 96 |
| 30.87 | 100 |
| 31.27 | 75 |
| 31.46 | 83 |
| 32.43 | 55 |
| 33.07 | 47 |
| 33.63 | 49 |
| 34.07 | 49 |